The following is a calculated X-ray powder pattern of Er2CrO5. It was derived from the GGA+U geometry in Alexandria, using Cu Kα, 1.54184 Å.
Kinematic intensities with the Lorentz-polarization factor, no thermal factor.

a b c (Å): 9.3601 6.9265 6.7629
angles (deg): 90.00 97.77 90.00
Space group P2_1/c (No. 14)
Symmetry-distinct sites (fractional):
Er: 0.0337 0.1174 0.2297
Er: 0.3448 0.1457 0.9757
Cr: 0.3003 0.6074 0.9801
O: 0.1039 0.1192 0.9144
O: 0.1047 0.6424 0.9602
O: 0.2787 0.0757 0.2769
O: 0.3610 0.0742 0.6569
O: 0.4060 0.6803 0.4883

Largest 10 diffraction maxima, by intensity, 2θ = 10–80°:
h k l, 2θ/deg, Rel. int.
1 2 1, 31.19, 100.0
3 0 0, 28.88, 59.5
1 0 -2, 27.05, 52.1
2 2 -1, 33.95, 45.1
1 1 0, 15.97, 41.1
0 0 4, 54.82, 30.5
4 2 1, 50.76, 23.5
1 2 -3, 48.37, 19.1
2 0 2, 35.10, 18.8
0 2 3, 48.50, 17.6